1.
Diffraction record for MgTi2P2H2O10. The powder diffractogram is calculated, not measured: it uses a cell relaxed with GGA-PBE and Cu Kα, 1.54184 Å.

Peak list (6 most intense, 10 to 90 degrees two-theta, low angle first)
2θ 18.27, d = 4.857 Å, intensity 39, (1 0 0)
2θ 25.97, d = 3.431 Å, intensity 37, (-1 1 1)
2θ 26.68, d = 3.341 Å, intensity 66, (1 0 -2)
2θ 26.77, d = 3.330 Å, intensity 100, (0 1 -2)
2θ 28.09, d = 3.177 Å, intensity 88, (1 1 0)
2θ 36.10, d = 2.488 Å, intensity 30, (1 -2 0)

Crystal structure
Cell: 5.2699 5.4803 7.3540 Å, 108.03 109.30 95.48°
Atoms (fractional coordinates):
Mg  0.0000  0.0000  0.0000
Ti  0.2580  0.5999  0.7422
Ti  0.2615  0.6189  0.2921
P  0.5803  0.2462  0.0170
P  0.9113  0.9809  0.5131
H  0.5554  0.3993  0.5357
H  0.9285  0.5349  0.9222
O  0.0017  0.8724  0.6942
O  0.0982  0.9166  0.3876
O  0.1093  0.6603  0.9943
O  0.3695  0.2662  0.1233
O  0.4084  0.4984  0.5236
O  0.5334  0.4043  0.8739
O  0.5683  0.9489  0.9014
O  0.6125  0.8488  0.3633
O  0.8887  0.3360  0.1685
O  0.9370  0.2813  0.6056


2.
Diffraction record for KLaMg6. The powder diffractogram is calculated, not measured: it uses a cell relaxed with GGA-PBE and Cu Kα, 1.54184 Å.

Peak list (6 most intense, 10 to 90 degrees two-theta, low angle first)
2θ 14.55, d = 6.088 Å, intensity 55, (0 1 1)
2θ 21.95, d = 4.049 Å, intensity 40, (1 1 1)
2θ 33.05, d = 2.711 Å, intensity 32, (2 0 0)
2θ 33.77, d = 2.654 Å, intensity 100, (1 2 2)
2θ 34.08, d = 2.631 Å, intensity 36, (1 0 4)
2θ 63.45, d = 1.466 Å, intensity 27, (2 2 6)

Crystal structure
Cell: 5.4210 7.0577 12.0347 Å, 90.00 90.00 90.00°
Atoms (fractional coordinates):
K  0.0000  0.0000  0.0000
K  0.0000  0.5000  0.5000
La  0.5000  0.0000  0.8094
La  0.5000  0.5000  0.3094
Mg  0.0000  0.0000  0.4843
Mg  0.0000  0.2483  0.2368
Mg  0.0000  0.2517  0.7368
Mg  0.0000  0.5000  0.9843
Mg  0.0000  0.7483  0.7368
Mg  0.0000  0.7517  0.2368
Mg  0.5000  0.0000  0.2983
Mg  0.5000  0.2251  0.5670
Mg  0.5000  0.2749  0.0670
Mg  0.5000  0.5000  0.7983
Mg  0.5000  0.7251  0.0670
Mg  0.5000  0.7749  0.5670


3.
Diffraction record for CeH3. The powder diffractogram is calculated, not measured: it uses a cell relaxed with GGA-PBE and Cu Kα, 1.54184 Å.

Peak list (6 most intense, 10 to 90 degrees two-theta, low angle first)
2θ 28.68, d = 3.112 Å, intensity 100, (1 0 1)
2θ 29.53, d = 3.024 Å, intensity 23, (0 0 2)
2θ 34.96, d = 2.567 Å, intensity 30, (1 1 0)
2θ 46.40, d = 1.957 Å, intensity 29, (1 1 2)
2θ 51.87, d = 1.763 Å, intensity 19, (1 0 3)
2θ 58.91, d = 1.568 Å, intensity 26, (2 1 1)

Crystal structure
Cell: 3.6297 3.6297 6.0489 Å, 90.00 90.00 90.00°
Atoms (fractional coordinates):
Ce  0.0000  0.0000  0.0000
Ce  0.5000  0.5000  0.5000
H  0.0000  0.0000  0.5000
H  0.0000  0.5000  0.2500
H  0.0000  0.5000  0.7500
H  0.5000  0.0000  0.2500
H  0.5000  0.0000  0.7500
H  0.5000  0.5000  0.0000


4.
Diffraction record for Lu2CdHg. The powder diffractogram is calculated, not measured: it uses a cell relaxed with GGA-PBE and Cu Kα, 1.54184 Å.

Peak list (6 most intense, 10 to 90 degrees two-theta, low angle first)
2θ 21.01, d = 4.229 Å, intensity 4, (1 1 1)
2θ 34.64, d = 2.590 Å, intensity 100, (2 2 0)
2θ 49.79, d = 1.831 Å, intensity 18, (4 0 0)
2θ 62.08, d = 1.495 Å, intensity 37, (4 2 2)
2θ 73.08, d = 1.295 Å, intensity 12, (4 4 0)
2θ 83.46, d = 1.158 Å, intensity 17, (6 2 0)

Crystal structure
Cell: 7.3249 7.3249 7.3249 Å, 90.00 90.00 90.00°
Atoms (fractional coordinates):
Lu  0.2500  0.2500  0.2500
Lu  0.2500  0.2500  0.7500
Lu  0.2500  0.7500  0.2500
Lu  0.2500  0.7500  0.7500
Lu  0.7500  0.2500  0.2500
Lu  0.7500  0.2500  0.7500
Lu  0.7500  0.7500  0.2500
Lu  0.7500  0.7500  0.7500
Cd  0.0000  0.0000  0.0000
Cd  0.0000  0.5000  0.5000
Cd  0.5000  0.0000  0.5000
Cd  0.5000  0.5000  0.0000
Hg  0.0000  0.0000  0.5000
Hg  0.0000  0.5000  0.0000
Hg  0.5000  0.0000  0.0000
Hg  0.5000  0.5000  0.5000


> Which formula does entry 1 have?

MgTi2P2H2O10